1.
For Pu3Co, a cell relaxed with PBE gives the simulated PXRD pattern in this record (Cu Kα X-rays).

Principal peaks in the range 15 to 90 degrees two-theta, by intensity:
- d 2.643, intensity 100
- d 2.416, intensity 30
- d 2.782, intensity 19
- d 1.432, intensity 18
- d 2.508, intensity 16
- d 1.465, intensity 14

Crystal structure
```
data_Pu3Co
_symmetry_space_group_name_H-M 'C m c m'
_symmetry_Int_Tables_number 63
_symmetry_space_group_name_Hall '-C 2c 2'
_cell_length_a 3.4033
_cell_length_b 11.1272
_cell_length_c 9.0263
_cell_angle_alpha 90.00
_cell_angle_beta 90.00
_cell_angle_gamma 90.00
loop_
_atom_site_label
_atom_site_type_symbol
_atom_site_fract_x
_atom_site_fract_y
_atom_site_fract_z
Pu1 Pu 0.0000 0.0774 0.2500
Pu2 Pu 0.0000 0.3671 0.0544
Co1 Co 0.0000 0.2210 0.7500
```


2.
For Cs3SbI6, a cell relaxed with PBE gives the simulated PXRD pattern in this record (Cu Kα X-rays).

Principal peaks in the range 15 to 90 degrees two-theta, by intensity:
- d 3.329, intensity 100
- d 2.354, intensity 72
- d 3.844, intensity 69
- d 1.489, intensity 28
- d 2.008, intensity 27
- d 4.708, intensity 24

Crystal structure
```
data_Cs3SbI6
_symmetry_space_group_name_H-M 'F m -3 m'
_symmetry_Int_Tables_number 225
_symmetry_space_group_name_Hall '-F 4 2 3'
_cell_length_a 13.3163
_cell_length_b 13.3163
_cell_length_c 13.3163
_cell_angle_alpha 90.00
_cell_angle_beta 90.00
_cell_angle_gamma 90.00
loop_
_atom_site_label
_atom_site_type_symbol
_atom_site_fract_x
_atom_site_fract_y
_atom_site_fract_z
Cs1 Cs 0.0000 0.0000 0.0000
Cs2 Cs 0.2500 0.2500 0.2500
Sb1 Sb 0.0000 0.0000 0.5000
I1 I 0.0000 0.0000 0.2723
```


3.
For Tm2CdOs, a cell relaxed with PBE gives the simulated PXRD pattern in this record (Cu Kα X-rays).

Principal peaks in the range 15 to 90 degrees two-theta, by intensity:
- d 2.476, intensity 100
- d 1.430, intensity 36
- d 1.751, intensity 18
- d 1.107, intensity 17
- d 1.238, intensity 11
- d 4.044, intensity 3

Crystal structure
```
data_Tm2CdOs
_symmetry_space_group_name_H-M 'F m -3 m'
_symmetry_Int_Tables_number 225
_symmetry_space_group_name_Hall '-F 4 2 3'
_cell_length_a 7.0036
_cell_length_b 7.0036
_cell_length_c 7.0036
_cell_angle_alpha 90.00
_cell_angle_beta 90.00
_cell_angle_gamma 90.00
loop_
_atom_site_label
_atom_site_type_symbol
_atom_site_fract_x
_atom_site_fract_y
_atom_site_fract_z
Tm1 Tm 0.2500 0.2500 0.2500
Cd1 Cd 0.0000 0.0000 0.0000
Os1 Os 0.0000 0.0000 0.5000
```


4.
For Ce4YO9, a cell relaxed with PBE gives the simulated PXRD pattern in this record (Cu Kα X-rays).

Principal peaks in the range 15 to 90 degrees two-theta, by intensity:
- d 3.192, intensity 100
- d 3.143, intensity 97
- d 1.943, intensity 68
- d 1.660, intensity 41
- d 2.733, intensity 40
- d 1.639, intensity 28

Crystal structure
```
data_Ce4YO9
_symmetry_space_group_name_H-M 'I m m 2'
_symmetry_Int_Tables_number 44
_cell_length_a 3.8215
_cell_length_b 19.5554
_cell_length_c 5.5249
_cell_angle_alpha 90.00
_cell_angle_beta 90.00
_cell_angle_gamma 90.00
loop_
_symmetry_equiv_pos_as_xyz
'x,y,z'
'-x,-y,z'
'-x,y,z'
'x,-y,z'
'x+1/2,y+1/2,z+1/2'
'-x+1/2,-y+1/2,z+1/2'
'-x+1/2,y+1/2,z+1/2'
'x+1/2,-y+1/2,z+1/2'
loop_
_atom_site_label
_atom_site_type_symbol
_atom_site_fract_x
_atom_site_fract_y
_atom_site_fract_z
Ce1 Ce 0.0000 0.1057 0.0000
Ce2 Ce 0.0000 0.3014 0.0074
Y1 Y 0.0000 0.5000 0.0599
O1 O 0.0000 0.0000 0.7675
O2 O 0.0000 0.1965 0.2540
O3 O 0.0000 0.2023 0.7552
O4 O 0.0000 0.3954 0.2635
O5 O 0.0000 0.4173 0.7588
```


5.
For Li2AgF4, a cell relaxed with PBE gives the simulated PXRD pattern in this record (Cu Kα X-rays).

Principal peaks in the range 15 to 90 degrees two-theta, by intensity:
- d 3.865, intensity 100
- d 3.369, intensity 67
- d 5.422, intensity 52
- d 2.965, intensity 46
- d 2.624, intensity 34
- d 2.998, intensity 25

Crystal structure
```
data_Li2AgF4
_symmetry_space_group_name_H-M 'C 1 2/c 1'
_symmetry_Int_Tables_number 15
_cell_length_a 11.3060
_cell_length_b 5.9959
_cell_length_c 5.1367
_cell_angle_alpha 90.00
_cell_angle_beta 106.43
_cell_angle_gamma 90.00
loop_
_symmetry_equiv_pos_as_xyz
'x,y,z'
'-x,-y,-z'
'-x,y,-z+1/2'
'x,-y,z+1/2'
'x+1/2,y+1/2,z'
'-x+1/2,-y+1/2,-z'
'-x+1/2,y+1/2,-z+1/2'
'x+1/2,-y+1/2,z+1/2'
loop_
_atom_site_label
_atom_site_type_symbol
_atom_site_fract_x
_atom_site_fract_y
_atom_site_fract_z
Li1 Li 0.0000 0.1177 0.2500
Li2 Li 0.0000 0.3726 0.7500
Ag1 Ag 0.2500 0.2500 0.5000
F1 F 0.1024 0.1279 0.6395
F2 F 0.1075 0.3752 0.1684
```


6.
For HgOF, a cell relaxed with PBE gives the simulated PXRD pattern in this record (Cu Kα X-rays).

Principal peaks in the range 15 to 90 degrees two-theta, by intensity:
- d 3.512, intensity 100
- d 2.983, intensity 67
- d 2.883, intensity 50
- d 1.937, intensity 40
- d 1.856, intensity 30
- d 1.613, intensity 25

Crystal structure
```
data_HgOF
_symmetry_space_group_name_H-M 'P 21 21 21'
_symmetry_Int_Tables_number 19
_cell_length_a 4.7405
_cell_length_b 5.2279
_cell_length_c 7.2640
_cell_angle_alpha 90.00
_cell_angle_beta 90.00
_cell_angle_gamma 90.00
loop_
_symmetry_equiv_pos_as_xyz
'x,y,z'
'-x+1/2,-y,z+1/2'
'x+1/2,-y+1/2,-z'
'-x,y+1/2,-z+1/2'
loop_
_atom_site_label
_atom_site_type_symbol
_atom_site_fract_x
_atom_site_fract_y
_atom_site_fract_z
Hg1 Hg 0.2186 0.0323 0.1224
O1 O 0.1105 0.8090 0.3678
F1 F 0.0801 0.7107 0.8837
```


7.
For Zr2Ga3Ni, a cell relaxed with PBE gives the simulated PXRD pattern in this record (Cu Kα X-rays).

Principal peaks in the range 15 to 90 degrees two-theta, by intensity:
- d 2.445, intensity 100
- d 2.124, intensity 78
- d 2.433, intensity 58
- d 2.084, intensity 49
- d 2.545, intensity 28
- d 2.471, intensity 25

Crystal structure
```
data_Zr2Ga3Ni
_symmetry_space_group_name_H-M 'C 1 m 1'
_symmetry_Int_Tables_number 8
_cell_length_a 9.8596
_cell_length_b 4.1678
_cell_length_c 6.5796
_cell_angle_alpha 90.00
_cell_angle_beta 131.31
_cell_angle_gamma 90.00
loop_
_symmetry_equiv_pos_as_xyz
'x,y,z'
'x,-y,z'
'x+1/2,y+1/2,z'
'x+1/2,-y+1/2,z'
loop_
_atom_site_label
_atom_site_type_symbol
_atom_site_fract_x
_atom_site_fract_y
_atom_site_fract_z
Zr1 Zr 0.0000 0.0000 0.0000
Zr2 Zr 0.0829 0.0000 0.5802
Ga1 Ga 0.2049 0.5000 0.4038
Ga2 Ga 0.3668 0.0000 0.1618
Ga3 Ga 0.3984 0.0000 0.6243
Ni1 Ni 0.2121 0.5000 0.0230
```


8.
For BaLaI5, a cell relaxed with PBE gives the simulated PXRD pattern in this record (Cu Kα X-rays).

Principal peaks in the range 15 to 90 degrees two-theta, by intensity:
- d 3.030, intensity 100
- d 3.401, intensity 49
- d 3.111, intensity 46
- d 2.771, intensity 42
- d 3.475, intensity 41
- d 2.808, intensity 36

Crystal structure
```
data_BaLaI5
_symmetry_space_group_name_H-M 'C 1 2/c 1'
_symmetry_Int_Tables_number 15
_cell_length_a 6.4884
_cell_length_b 22.4947
_cell_length_c 8.0424
_cell_angle_alpha 90.00
_cell_angle_beta 93.82
_cell_angle_gamma 90.00
loop_
_symmetry_equiv_pos_as_xyz
'x,y,z'
'-x,-y,-z'
'-x,y,-z+1/2'
'x,-y,z+1/2'
'x+1/2,y+1/2,z'
'-x+1/2,-y+1/2,-z'
'-x+1/2,y+1/2,-z+1/2'
'x+1/2,-y+1/2,z+1/2'
loop_
_atom_site_label
_atom_site_type_symbol
_atom_site_fract_x
_atom_site_fract_y
_atom_site_fract_z
Ba1 Ba 0.0000 0.1734 0.2500
La1 La 0.0000 0.4214 0.2500
I1 I 0.0000 0.1309 0.7500
I2 I 0.0046 0.3073 0.9928
I3 I 0.2487 0.4655 0.6011
```


9.
For La2Cu5Ni5, a cell relaxed with PBE gives the simulated PXRD pattern in this record (Cu Kα X-rays).

Principal peaks in the range 15 to 90 degrees two-theta, by intensity:
- d 2.143, intensity 100
- d 2.948, intensity 38
- d 1.981, intensity 25
- d 2.209, intensity 22
- d 1.474, intensity 21
- d 2.546, intensity 21

Crystal structure
```
data_La2Cu5Ni5
_symmetry_space_group_name_H-M 'P m m m'
_symmetry_Int_Tables_number 47
_cell_length_a 3.9615
_cell_length_b 5.1067
_cell_length_c 8.8119
_cell_angle_alpha 90.00
_cell_angle_beta 90.00
_cell_angle_gamma 90.00
loop_
_symmetry_equiv_pos_as_xyz
'x,y,z'
'-x,-y,-z'
'-x,-y,z'
'x,y,-z'
'x,-y,-z'
'-x,y,z'
'-x,y,-z'
'x,-y,z'
loop_
_atom_site_label
_atom_site_type_symbol
_atom_site_fract_x
_atom_site_fract_y
_atom_site_fract_z
La1 La 0.0000 0.0000 0.0000
La2 La 0.0000 0.5000 0.5000
Cu1 Cu 0.0000 0.0000 0.3313
Cu2 Cu 0.0000 0.5000 0.1674
Cu3 Cu 0.5000 0.0000 0.5000
Ni1 Ni 0.5000 0.2518 0.2491
Ni2 Ni 0.5000 0.5000 0.0000
```